Structure and simulated XRD peak list of Sr3La3TbTe8 (a DFT-relaxed cell (PBE, Alexandria); Cu Kα (weighted mean of Kα1 and Kα2)).

Cell lengths 9.349, 9.349, 9.349 Å; angles 58.77, 58.77, 58.77 degrees
Atoms (fractional coordinates):
Sr1 0.000 0.500 0.500
Sr2 0.500 0.000 0.500
Sr3 0.500 0.500 0.000
La1 0.000 0.000 0.500
La2 0.000 0.500 0.000
La3 0.500 0.000 0.000
Tb1 0.500 0.500 0.500
Te1 0.248 0.248 0.248
Te2 0.253 0.741 0.741
Te3 0.259 0.259 0.747
Te4 0.259 0.747 0.259
Te5 0.741 0.253 0.741
Te6 0.741 0.741 0.253
Te7 0.747 0.259 0.259
Te8 0.752 0.752 0.752

Principal peaks in the range 10° ≤ 2θ ≤ 90°, low angle first:
d [Å]  2theta  Rel. int.
7.704  11.5  10
3.274  27.2  100
2.337  38.5  39
2.294  39.3  38
1.926  47.2  7
1.879  48.5  20
1.637  56.2  13
1.475  63.0  17
1.453  64.1  17
1.358  69.2  6
1.332  70.7  13
1.091  89.9  7